Diffraction record for Ca3SiO5. The powder diffraction line list is calculated, not measured: it uses the PBE geometry in Alexandria and Cu Kα (weighted mean of Kα1 and Kα2).

Structure:
```
Ca3SiO5
1.0
6.1825 -3.5643 0.0000
6.1825 3.5643 0.0000
-4.1135 0.0000 8.3985
Ca Si O
9 3 15
Cartesian
0.0000 0.0000 0.0000
3.4135 1.8488 0.3960
1.1154 1.8203 5.7510
5.6681 1.8606 2.8678
3.4135 -1.8488 0.3960
1.1154 -1.8203 5.7510
4.5338 0.0000 5.4958
5.6681 -1.8606 2.8678
8.8843 0.0000 3.1150
-1.6068 0.0000 5.9142
2.4036 0.0000 2.8084
2.4196 0.0000 8.3880
1.8622 0.0000 1.2607
3.3378 1.3349 2.9944
-0.7328 0.0000 7.3018
1.1353 0.0000 3.8695
5.7130 1.3435 0.4620
5.0408 2.2054 5.1075
2.5458 0.0000 6.7207
3.3378 -1.3349 2.9944
5.7130 -1.3435 0.4620
8.0059 0.0000 0.7492
6.7213 0.0000 3.9721
6.2555 0.0000 7.0656
5.0408 -2.2054 5.1075
10.8001 0.0000 1.7785
9.0954 0.0000 6.0766
```

Peak list (6 most intense, 2θ = 15–90°, low angle first)
two_theta, intensity
29.13, 84
31.97, 80
32.28, 100
34.04, 92
40.94, 67
51.23, 76

Diffraction record for KBaHg12. The powder diffraction line list is calculated, not measured: it uses the PBE geometry in Alexandria and Cu Kα (weighted mean of Kα1 and Kα2).

Structure:
```
KBaHg12
1.0
6.9712 0.0000 0.0000
0.0000 6.9712 0.0000
0.0000 0.0000 14.5150
K Ba Hg
1 1 12
Cartesian
0.0000 0.0000 0.0000
0.0000 0.0000 7.2575
1.3685 3.4856 3.6866
1.3685 3.4856 10.8284
3.4856 1.3685 3.6866
3.4856 1.3685 10.8284
3.4856 3.4856 1.4010
3.4856 3.4856 5.8952
3.4856 3.4856 8.6198
3.4856 3.4856 13.1140
3.4856 5.6028 3.6866
3.4856 5.6028 10.8284
5.6028 3.4856 3.6866
5.6028 3.4856 10.8284
```

Peak list (6 most intense, 2θ = 15–90°, low angle first)
two_theta, intensity
21.80, 75
31.22, 63
38.05, 100
38.58, 52
38.75, 39
54.78, 36

Diffraction record for Be2TePd. The powder diffraction line list is calculated, not measured: it uses the PBE geometry in Alexandria and Cu Kα (weighted mean of Kα1 and Kα2).

Structure:
```
Be2TePd
1.0
-2.6739 2.6739 5.4342
2.6739 -2.6739 5.4342
2.6739 2.6739 -5.4342
Be Te Pd
4 2 2
Cartesian
4.0108 1.1718 -1.3586
1.1718 1.3369 1.3586
-1.3369 1.5020 4.0757
1.5020 1.3369 6.7928
2.6739 0.0000 2.7171
0.0000 0.0000 5.4342
0.0000 0.0000 0.0000
0.0000 2.6739 2.7171
```

Peak list (6 most intense, 2θ = 15–90°, low angle first)
two_theta, intensity
28.76, 100
32.97, 16
33.51, 30
47.72, 27
56.32, 15
57.04, 28

Diffraction record for TbPmSm2. The powder diffraction line list is calculated, not measured: it uses the PBE geometry in Alexandria and Cu Kα (weighted mean of Kα1 and Kα2).

Structure:
```
TbPmSm2
1.0
-2.5584 2.5584 5.1164
2.5584 -2.5584 5.1164
2.5584 2.5584 -5.1164
Tb Pm Sm
1 1 2
Cartesian
0.0000 0.0000 0.0000
0.0000 2.5584 2.5582
2.5584 0.0000 2.5582
0.0000 0.0000 5.1164
```

Peak list (6 most intense, 2θ = 15–90°, low angle first)
two_theta, intensity
30.26, 100
35.08, 51
50.45, 36
59.96, 43
82.11, 18
84.72, 16

Diffraction record for Nd5InSb2. The powder diffraction line list is calculated, not measured: it uses the PBE geometry in Alexandria and Cu Kα (weighted mean of Kα1 and Kα2).

Structure:
```
Nd5InSb2
1.0
-3.5790 3.5790 4.5882
3.5790 -3.5790 4.5882
3.5790 3.5790 -4.5882
Nd In Sb
5 1 2
Cartesian
0.0000 0.0000 0.0000
1.7895 1.7895 -2.2941
1.7895 -1.7895 2.2941
-1.7895 1.7895 2.2941
1.7895 1.7895 2.2941
0.0000 0.0000 4.5882
3.5790 0.0000 0.0000
0.0000 3.5790 0.0000
```

Peak list (6 most intense, 2θ = 15–90°, low angle first)
two_theta, intensity
31.71, 100
35.47, 37
39.27, 14
51.04, 13
53.95, 22
61.34, 30

Diffraction record for BeGeIO2. The powder diffraction line list is calculated, not measured: it uses the PBE geometry in Alexandria and Cu Kα (weighted mean of Kα1 and Kα2).

Structure:
```
BeGeIO2
1.0
3.6868 0.0000 0.0000
0.0000 3.6868 0.0000
0.0000 0.0000 6.7266
Be Ge I O
1 1 1 2
Cartesian
0.0000 0.0000 0.0000
1.8434 1.8434 3.3633
1.8434 1.8434 0.0000
0.0000 1.8434 3.3633
1.8434 0.0000 3.3633
```

Peak list (6 most intense, 2θ = 15–90°, low angle first)
two_theta, intensity
24.14, 100
26.50, 62
34.40, 32
36.15, 70
43.94, 33
62.76, 27

Diffraction record for YPu2As3. The powder diffraction line list is calculated, not measured: it uses the PBE geometry in Alexandria and Cu Kα (weighted mean of Kα1 and Kα2).

Structure:
```
YPu2As3
1.0
0.0000 5.8401 12.3936
4.1279 0.0000 12.3936
4.1279 5.8401 0.0000
Y Pu As
4 8 12
Cartesian
1.0320 1.4600 1.0337
1.0320 1.4600 5.1631
7.2239 10.2202 19.6241
7.2239 10.2202 23.7534
3.0959 4.3801 3.0881
3.0959 4.3801 7.2218
5.1599 7.3001 9.2849
3.0959 4.3801 11.3686
5.1599 7.3001 13.4185
3.0959 4.3801 15.5022
5.1599 7.3001 17.5654
5.1599 7.3001 21.6990
3.1064 1.4730 7.2416
5.1405 4.3801 9.2952
3.0855 1.4730 11.3488
5.1495 4.3930 13.4384
7.2045 7.3001 15.4920
5.1704 4.3930 17.5456
3.0855 7.2872 7.2416
1.0514 4.3801 9.2952
3.1064 7.2872 11.3488
5.1704 10.2072 13.4384
3.1153 7.3001 15.4920
5.1495 10.2072 17.5456
```

Peak list (6 most intense, 2θ = 15–90°, low angle first)
two_theta, intensity
26.43, 32
30.62, 100
43.85, 75
54.42, 27
72.36, 35
80.58, 26